# 1
Computed powder X-ray diffraction pattern
Compound: HfAl6Cu6
Radiation: copper Kα
Structure: a PBE-relaxed structure
No peak broadening, texture or thermal motion is included.

Principal peaks in the range 5 to 70 degrees two-theta, in order of falling intensity:
2θ/deg, I_rel
42.15, 100.0
41.34, 74.1
29.40, 61.6
14.72, 58.5
42.78, 41.3
41.48, 34.4
61.00, 30.6
42.31, 30.3
29.69, 29.8
46.82, 28.3
20.39, 24.9
29.25, 23.9

Atomic structure:
```
data_HfAl6Cu6
_chemical_formula_sum 'Hf2 Al12 Cu12'
_cell_length_a 5.078
_cell_length_b 8.455
_cell_length_c 8.567
_cell_angle_alpha 90.00
_cell_angle_beta 90.00
_cell_angle_gamma 90.00
_space_group_name_H-M_alt 'I m m m'
_space_group_IT_number 71
_space_group_name_Hall '-I 2 2'
loop_
_atom_site_label
_atom_site_type_symbol
_atom_site_fract_x
_atom_site_fract_y
_atom_site_fract_z
Hf1 Hf 0.000 0.000 0.000
Al1 Al 0.000 0.000 0.343
Al2 Al 0.000 0.344 0.000
Al3 Al 0.000 0.500 0.318
Cu1 Cu 0.000 0.263 0.500
Cu2 Cu 0.250 0.250 0.250
```

# 2
Computed powder X-ray diffraction pattern
Compound: HfAlCu
Radiation: copper Kα
Structure: a PBE-relaxed structure
No peak broadening, texture or thermal motion is included.

Principal peaks in the range 5 to 70 degrees two-theta, in order of falling intensity:
2θ/deg, I_rel
26.47, 100.0
35.67, 78.2
35.12, 78.0
42.68, 59.0
46.28, 53.9
32.26, 35.2
41.27, 28.4
59.73, 26.5
63.68, 23.2
54.08, 22.1
67.52, 17.1
61.22, 12.1

Atomic structure:
```
data_HfAlCu
_chemical_formula_sum 'Hf2 Al2 Cu2'
_cell_length_a 3.920
_cell_length_b 3.928
_cell_length_c 6.562
_cell_angle_alpha 90.00
_cell_angle_beta 90.14
_cell_angle_gamma 90.00
_space_group_name_H-M_alt 'P 1 21/m 1'
_space_group_IT_number 11
loop_
_space_group_symop_operation_xyz
'x,y,z'
'-x,-y,-z'
'-x,y+1/2,-z'
'x,-y+1/2,z'
loop_
_atom_site_label
_atom_site_type_symbol
_atom_site_fract_x
_atom_site_fract_y
_atom_site_fract_z
Hf1 Hf 0.248 0.250 0.164
Al1 Al 0.251 0.250 0.733
Cu1 Cu 0.250 0.750 0.500
```